1.
# ZnS
Theoretical X-ray diffraction stick pattern, λ = 1.5418 Å (Cu Kα). Input: a DFT-relaxed cell (GGA-PBE, the Materials Project).
Peak positions follow from Bragg's law for the DFT cell and can differ from measured ones.

Structure:
a b c (Å): 3.8539 3.8539 56.6884
angles (deg): 90.00 90.00 120.00
Space group P3m1 (No. 156)
Unique sites:
1 Zn 0.0000 0.0000 0.0000 (multiplicity 1)
2 Zn 0.0000 0.0000 0.1111 (multiplicity 1)
3 Zn 0.0000 0.0000 0.2222 (multiplicity 1)
4 Zn 0.0000 0.0000 0.3889 (multiplicity 1)
5 Zn 0.0000 0.0000 0.5556 (multiplicity 1)
6 Zn 0.0000 0.0000 0.7222 (multiplicity 1)
7 Zn 0.0000 0.0000 0.8334 (multiplicity 1)
8 Zn 0.3333 0.6667 0.1667 (multiplicity 1)
9 Zn 0.3333 0.6667 0.3333 (multiplicity 1)
10 Zn 0.3333 0.6667 0.4445 (multiplicity 1)
11 Zn 0.3333 0.6667 0.6111 (multiplicity 1)
12 Zn 0.3333 0.6667 0.7778 (multiplicity 1)
13 Zn 0.3333 0.6667 0.9444 (multiplicity 1)
14 Zn 0.6667 0.3333 0.0556 (multiplicity 1)
15 Zn 0.6667 0.3333 0.2778 (multiplicity 1)
16 Zn 0.6667 0.3333 0.5000 (multiplicity 1)
17 Zn 0.6667 0.3333 0.6667 (multiplicity 1)
18 Zn 0.6667 0.3333 0.8889 (multiplicity 1)
19 S 0.0000 0.0000 0.0416 (multiplicity 1)
20 S 0.0000 0.0000 0.1527 (multiplicity 1)
21 S 0.0000 0.0000 0.2639 (multiplicity 1)
22 S 0.0000 0.0000 0.4306 (multiplicity 1)
23 S 0.0000 0.0000 0.5972 (multiplicity 1)
24 S 0.0000 0.0000 0.7639 (multiplicity 1)
25 S 0.0000 0.0000 0.8750 (multiplicity 1)
26 S 0.3333 0.6667 0.2084 (multiplicity 1)
27 S 0.3333 0.6667 0.3750 (multiplicity 1)
28 S 0.3333 0.6667 0.4861 (multiplicity 1)
29 S 0.3333 0.6667 0.6528 (multiplicity 1)
30 S 0.3333 0.6667 0.8195 (multiplicity 1)
31 S 0.3333 0.6667 0.9861 (multiplicity 1)
32 S 0.6667 0.3333 0.0973 (multiplicity 1)
33 S 0.6667 0.3333 0.3194 (multiplicity 1)
34 S 0.6667 0.3333 0.5417 (multiplicity 1)
35 S 0.6667 0.3333 0.7083 (multiplicity 1)
36 S 0.6667 0.3333 0.9306 (multiplicity 1)

Peak list (10 most intense, 10° ≤ 2θ ≤ 90°, sorted by position)
| Position (°2θ) | d_spacing | I_rel | h k l |
| --- | --- | --- | --- |
| 27.87 | 3.202 | 672 | 1 0 5 |
| 28.35 | 3.149 | 1000 | 0 0 18 |
| 28.93 | 3.086 | 397 | 0 1 7 |
| 29.59 | 3.019 | 200 | 1 0 8 |
| 45.76 | 1.983 | 235 | 1 0 23 |
| 47.16 | 1.927 | 928 | 1 1 0 |
| 48.54 | 1.876 | 192 | 0 1 25 |
| 49.96 | 1.825 | 117 | 1 0 26 |
| 55.94 | 1.644 | 622 | 1 1 18 |
| 87.71 | 1.113 | 191 | 3 0 0 |



2.
# ZnS
Theoretical X-ray diffraction stick pattern, λ = 1.5418 Å (Cu Kα). Input: a DFT-relaxed cell (GGA-PBE, the Materials Project).
Peak positions follow from Bragg's law for the DFT cell and can differ from measured ones.

Structure:
a b c (Å): 3.8536 3.8536 56.7024
angles (deg): 90.00 90.00 120.00
Space group P3m1 (No. 156)
Unique sites:
1 Zn 0.0000 0.0000 0.0000 (multiplicity 1)
2 Zn 0.0000 0.0000 0.1111 (multiplicity 1)
3 Zn 0.0000 0.0000 0.2222 (multiplicity 1)
4 Zn 0.0000 0.0000 0.3333 (multiplicity 1)
5 Zn 0.0000 0.0000 0.4444 (multiplicity 1)
6 Zn 0.0000 0.0000 0.5556 (multiplicity 1)
7 Zn 0.0000 0.0000 0.7222 (multiplicity 1)
8 Zn 0.0000 0.0000 0.8889 (multiplicity 1)
9 Zn 0.3333 0.6667 0.1667 (multiplicity 1)
10 Zn 0.3333 0.6667 0.3889 (multiplicity 1)
11 Zn 0.3333 0.6667 0.6111 (multiplicity 1)
12 Zn 0.3333 0.6667 0.7778 (multiplicity 1)
13 Zn 0.3333 0.6667 0.9444 (multiplicity 1)
14 Zn 0.6667 0.3333 0.0555 (multiplicity 1)
15 Zn 0.6667 0.3333 0.2778 (multiplicity 1)
16 Zn 0.6667 0.3333 0.5000 (multiplicity 1)
17 Zn 0.6667 0.3333 0.6667 (multiplicity 1)
18 Zn 0.6667 0.3333 0.8333 (multiplicity 1)
19 S 0.0000 0.0000 0.0416 (multiplicity 1)
20 S 0.0000 0.0000 0.1527 (multiplicity 1)
21 S 0.0000 0.0000 0.2638 (multiplicity 1)
22 S 0.0000 0.0000 0.3750 (multiplicity 1)
23 S 0.0000 0.0000 0.4861 (multiplicity 1)
24 S 0.0000 0.0000 0.5972 (multiplicity 1)
25 S 0.0000 0.0000 0.7639 (multiplicity 1)
26 S 0.0000 0.0000 0.9305 (multiplicity 1)
27 S 0.3333 0.6667 0.2084 (multiplicity 1)
28 S 0.3333 0.6667 0.4306 (multiplicity 1)
29 S 0.3333 0.6667 0.6528 (multiplicity 1)
30 S 0.3333 0.6667 0.8194 (multiplicity 1)
31 S 0.3333 0.6667 0.9861 (multiplicity 1)
32 S 0.6667 0.3333 0.0972 (multiplicity 1)
33 S 0.6667 0.3333 0.3195 (multiplicity 1)
34 S 0.6667 0.3333 0.5417 (multiplicity 1)
35 S 0.6667 0.3333 0.7083 (multiplicity 1)
36 S 0.6667 0.3333 0.8750 (multiplicity 1)

Peak list (10 most intense, 10° ≤ 2θ ≤ 90°, sorted by position)
| Position (°2θ) | d_spacing | I_rel | h k l |
| --- | --- | --- | --- |
| 26.73 | 3.336 | 179 | 1 0 0 |
| 27.46 | 3.248 | 232 | 1 0 4 |
| 27.87 | 3.202 | 823 | 0 1 5 |
| 28.34 | 3.149 | 986 | 0 0 18 |
| 28.94 | 3.086 | 185 | 0 1 7 |
| 30.31 | 2.949 | 422 | 1 0 9 |
| 45.76 | 1.983 | 288 | 0 1 23 |
| 47.17 | 1.927 | 1000 | 1 1 0 |
| 51.41 | 1.777 | 301 | 1 0 27 |
| 55.94 | 1.644 | 671 | 1 1 18 |



3.
# ZnS
Theoretical X-ray diffraction stick pattern, λ = 1.5418 Å (Cu Kα). Input: a DFT-relaxed cell (GGA-PBE, the Materials Project).
Peak positions follow from Bragg's law for the DFT cell and can differ from measured ones.

Structure:
a b c (Å): 3.8483 3.8483 6.3175
angles (deg): 90.00 90.00 120.00
Space group P6_3mc (No. 186)
Unique sites:
1 Zn 0.3333 0.6667 0.0000 (multiplicity 2)
2 S 0.3333 0.6667 0.3741 (multiplicity 2)

Peak list (10 most intense, 10° ≤ 2θ ≤ 90°, sorted by position)
| Position (°2θ) | d_spacing | I_rel | h k l |
| --- | --- | --- | --- |
| 26.75 | 3.333 | 903 | 1 0 0 |
| 28.25 | 3.159 | 581 | 0 0 2 |
| 30.32 | 2.948 | 1000 | 1 0 1 |
| 39.30 | 2.293 | 349 | 1 0 2 |
| 47.24 | 1.924 | 704 | 1 1 0 |
| 51.32 | 1.780 | 716 | 1 0 3 |
| 55.96 | 1.643 | 470 | 1 1 2 |
| 57.17 | 1.611 | 161 | 2 0 1 |
| 72.31 | 1.307 | 242 | 2 0 3 |
| 81.46 | 1.181 | 171 | 1 0 5 |



4.
# ZnS
Theoretical X-ray diffraction stick pattern, λ = 1.5418 Å (Cu Kα). Input: a DFT-relaxed cell (GGA-PBE, the Materials Project).
Peak positions follow from Bragg's law for the DFT cell and can differ from measured ones.

Structure:
a b c (Å): 3.8526 3.8526 75.5940
angles (deg): 90.00 90.00 120.00
Space group P3m1 (No. 156)
Unique sites:
1 Zn 0.0000 0.0000 0.0000 (multiplicity 1)
2 Zn 0.0000 0.0000 0.0833 (multiplicity 1)
3 Zn 0.0000 0.0000 0.1667 (multiplicity 1)
4 Zn 0.0000 0.0000 0.2500 (multiplicity 1)
5 Zn 0.0000 0.0000 0.3333 (multiplicity 1)
6 Zn 0.0000 0.0000 0.4167 (multiplicity 1)
7 Zn 0.0000 0.0000 0.5417 (multiplicity 1)
8 Zn 0.0000 0.0000 0.7083 (multiplicity 1)
9 Zn 0.0000 0.0000 0.8750 (multiplicity 1)
10 Zn 0.3333 0.6667 0.1250 (multiplicity 1)
11 Zn 0.3333 0.6667 0.2917 (multiplicity 1)
12 Zn 0.3333 0.6667 0.4583 (multiplicity 1)
13 Zn 0.3333 0.6667 0.5833 (multiplicity 1)
14 Zn 0.3333 0.6667 0.6667 (multiplicity 1)
15 Zn 0.3333 0.6667 0.7500 (multiplicity 1)
16 Zn 0.3333 0.6667 0.8333 (multiplicity 1)
17 Zn 0.3333 0.6667 0.9583 (multiplicity 1)
18 Zn 0.6667 0.3333 0.0417 (multiplicity 1)
19 Zn 0.6667 0.3333 0.2083 (multiplicity 1)
20 Zn 0.6667 0.3333 0.3750 (multiplicity 1)
21 Zn 0.6667 0.3333 0.5000 (multiplicity 1)
22 Zn 0.6667 0.3333 0.6250 (multiplicity 1)
23 Zn 0.6667 0.3333 0.7917 (multiplicity 1)
24 Zn 0.6667 0.3333 0.9167 (multiplicity 1)
25 S 0.0000 0.0000 0.0312 (multiplicity 1)
26 S 0.0000 0.0000 0.1146 (multiplicity 1)
27 S 0.0000 0.0000 0.1979 (multiplicity 1)
28 S 0.0000 0.0000 0.2812 (multiplicity 1)
29 S 0.0000 0.0000 0.3646 (multiplicity 1)
30 S 0.0000 0.0000 0.4479 (multiplicity 1)
31 S 0.0000 0.0000 0.5729 (multiplicity 1)
32 S 0.0000 0.0000 0.7396 (multiplicity 1)
33 S 0.0000 0.0000 0.9062 (multiplicity 1)
34 S 0.3333 0.6667 0.1563 (multiplicity 1)
35 S 0.3333 0.6667 0.3229 (multiplicity 1)
36 S 0.3333 0.6667 0.4896 (multiplicity 1)
37 S 0.3333 0.6667 0.6146 (multiplicity 1)
38 S 0.3333 0.6667 0.6979 (multiplicity 1)
39 S 0.3333 0.6667 0.7812 (multiplicity 1)
40 S 0.3333 0.6667 0.8646 (multiplicity 1)
41 S 0.3333 0.6667 0.9896 (multiplicity 1)
42 S 0.6667 0.3333 0.0729 (multiplicity 1)
43 S 0.6667 0.3333 0.2396 (multiplicity 1)
44 S 0.6667 0.3333 0.4063 (multiplicity 1)
45 S 0.6667 0.3333 0.5312 (multiplicity 1)
46 S 0.6667 0.3333 0.6563 (multiplicity 1)
47 S 0.6667 0.3333 0.8229 (multiplicity 1)
48 S 0.6667 0.3333 0.9479 (multiplicity 1)

Peak list (10 most intense, 10° ≤ 2θ ≤ 90°, sorted by position)
| Position (°2θ) | d_spacing | I_rel | h k l |
| --- | --- | --- | --- |
| 26.74 | 3.334 | 181 | 1 0 1 |
| 27.66 | 3.225 | 444 | 1 0 6 |
| 27.99 | 3.188 | 708 | 1 0 7 |
| 28.34 | 3.149 | 888 | 0 0 24 |
| 29.77 | 3.001 | 376 | 1 0 11 |
| 30.90 | 2.894 | 215 | 1 0 13 |
| 46.11 | 1.969 | 257 | 1 0 31 |
| 47.18 | 1.926 | 1000 | 1 1 0 |
| 50.33 | 1.813 | 231 | 1 0 35 |
| 55.95 | 1.643 | 670 | 1 1 24 |